Simulated X-ray diffraction stick pattern
Compound: PmPa2MnO8
Radiation: copper Kα
Structure: a structure optimized by DFT (PBE+U)

Peak list (8 most intense, 15 to 90 degrees two-theta, by intensity)
| 2θ (°) | I (rel.) |
| --- | --- |
| 28.47 | 100.0 |
| 47.35 | 48.1 |
| 56.18 | 46.2 |
| 32.99 | 35.1 |
| 18.27 | 23.6 |
| 76.46 | 18.4 |
| 88.13 | 14.5 |
| 58.92 | 10.9 |

Crystal structure
```
data_PmPa2MnO8
_space_group_name_H-M_alt 'I -4'
_space_group_IT_number 82
_space_group_name_Hall 'I -4'
_cell_length_a 5.4273
_cell_length_b 5.4273
_cell_length_c 10.8727
_cell_angle_alpha 90.00
_cell_angle_beta 90.00
_cell_angle_gamma 90.00
loop_
_atom_site_label
_atom_site_fract_x
_atom_site_fract_y
_atom_site_fract_z
_atom_site_occupancy
Pm1 0.0000 0.0000 0.0000 1
Pa1 0.0000 0.0000 0.5000 1
Pa2 0.0000 0.5000 0.7500 1
Mn1 0.0000 0.5000 0.2500 1
O1 0.1934 0.2855 0.5984 1
O2 0.2182 0.2673 0.3416 1
```